Diffraction record for Y7Cd2Rh2. The powder XRD pattern is simulated, not measured: it uses DFT lattice parameters and positions (PBE) and λ = 1.5418 Å (Cu Kα).
Neutral-atom scattering factors, no anomalous dispersion.

Structural model:
Lattice parameters (Å, degrees): 6.7982 6.7982 7.1572 90.00 90.00 107.65
Fractional coordinates of all 11 atoms:
Y1 0.0000 0.0000 0.0000
Y2 0.0000 0.5000 0.2518
Y3 0.0000 0.5000 0.7482
Y4 0.5000 0.0000 0.2518
Y5 0.5000 0.0000 0.7482
Y6 0.5000 0.5000 0.2454
Y7 0.5000 0.5000 0.7546
Cd1 0.1759 0.1759 0.5000
Cd2 0.8241 0.8241 0.5000
Rh1 0.2889 0.7111 0.0000
Rh2 0.7111 0.2889 0.0000

Main lines, sorted by position (10 to 80 degrees two-theta):
d_spacing	I (rel.)
4.355	40
3.500	47
3.239	19
3.132	37
2.998	15
2.744	59
2.438	58
2.401	100
2.159	17
2.067	22
1.789	19
1.499	17

---

Diffraction record for YCdRh. The powder XRD pattern is simulated, not measured: it uses DFT lattice parameters and positions (PBE) and λ = 1.5418 Å (Cu Kα).
Neutral-atom scattering factors, no anomalous dispersion.

Structural model:
Lattice parameters (Å, degrees): 5.3893 5.3893 5.8242 90.00 90.00 131.21
Fractional coordinates of all 6 atoms:
Y1 0.2031 0.7969 0.7500
Y2 0.7969 0.2031 0.2500
Cd1 0.5000 0.5000 0.0000
Cd2 0.5000 0.5000 0.5000
Rh1 0.1024 0.8976 0.2500
Rh2 0.8976 0.1024 0.7500

Main lines, sorted by position (10 to 80 degrees two-theta):
d_spacing	I (rel.)
4.908	15
2.637	66
2.504	30
2.402	50
2.365	100
2.261	17
2.226	40
1.877	14
1.664	16
1.563	13
1.310	14
1.275	13

---

Diffraction record for Zn2CdRh. The powder XRD pattern is simulated, not measured: it uses DFT lattice parameters and positions (PBE) and λ = 1.5418 Å (Cu Kα).
Neutral-atom scattering factors, no anomalous dispersion.

Structural model:
Lattice parameters (Å, degrees): 3.1486 3.1803 6.3930 90.00 90.27 90.00
Fractional coordinates of all 4 atoms:
Zn1 0.0016 0.0000 0.2123
Zn2 0.9984 0.0000 0.7877
Cd1 0.5000 0.5000 0.5000
Rh1 0.5000 0.5000 0.0000

Main lines, sorted by position (10 to 80 degrees two-theta):
d_spacing	I (rel.)
3.196	6
2.255	64
2.248	32
2.238	100
1.598	8
1.590	11
1.574	11
1.303	8
1.298	18
1.296	10
1.293	10
1.289	10